(1)
This entry pairs a crystal structure of Cs3Sc2I9 with its theoretical powder X-ray diffraction pattern. Radiation: CuKα. Structure: a crystal structure in Alexandria, relaxed with PBE.

Atomic structure:
Lattice parameters (Å, degrees): 11.0339 11.0339 11.0339 82.15 82.15 82.15
Fractional positions:
Cs  0.0864  0.7500  0.4136
Cs  0.2500  0.5864  0.9136
Cs  0.4136  0.0864  0.7500
Cs  0.5864  0.9136  0.2500
Cs  0.7500  0.4136  0.0864
Cs  0.9136  0.2500  0.5864
Sc  0.1588  0.1588  0.1588
Sc  0.3412  0.3412  0.3412
Sc  0.6588  0.6588  0.6588
Sc  0.8412  0.8412  0.8412
I  0.0731  0.9097  0.7371
I  0.0903  0.2629  0.9269
I  0.0929  0.4071  0.2500
I  0.2371  0.4097  0.5731
I  0.2500  0.0929  0.4071
I  0.2629  0.9269  0.0903
I  0.4071  0.2500  0.0929
I  0.4097  0.5731  0.2371
I  0.4269  0.7629  0.5903
I  0.5731  0.2371  0.4097
I  0.5903  0.4269  0.7629
I  0.5929  0.7500  0.9071
I  0.7371  0.0731  0.9097
I  0.7500  0.9071  0.5929
I  0.7629  0.5903  0.4269
I  0.9071  0.5929  0.7500
I  0.9097  0.7371  0.0731
I  0.9269  0.0903  0.2629

Largest 10 diffraction maxima, sorted by position, 2θ from 15° to 90°:
2θ 24.6, rel. 18
2θ 24.8, rel. 25
2θ 27.6, rel. 100
2θ 35.2, rel. 21
2θ 43.2, rel. 22
2θ 45.4, rel. 22
2θ 50.5, rel. 20
2θ 52.0, rel. 16
2θ 68.9, rel. 8
2θ 69.9, rel. 13



(2)
This entry pairs a crystal structure of Pm6Dy8Sn with its theoretical powder X-ray diffraction pattern. Radiation: CuKα. Structure: a crystal structure in Alexandria, relaxed with PBE.

Atomic structure:
Lattice parameters (Å, degrees): 9.3851 9.3851 6.4657 90.00 90.00 120.00
Fractional positions:
Pm  0.0906  0.6420  0.1785
Pm  0.3580  0.4486  0.1785
Pm  0.4486  0.0906  0.8215
Pm  0.5514  0.9094  0.1785
Pm  0.6420  0.5514  0.8215
Pm  0.9094  0.3580  0.8215
Dy  0.0376  0.7756  0.6856
Dy  0.2244  0.2621  0.6856
Dy  0.2621  0.0376  0.3144
Dy  0.3333  0.6667  0.6572
Dy  0.6667  0.3333  0.3428
Dy  0.7379  0.9624  0.6856
Dy  0.7756  0.7379  0.3144
Dy  0.9624  0.2244  0.3144
Sn  0.0000  0.0000  0.0000

Largest 10 diffraction maxima, sorted by position, 2θ from 15° to 90°:
2θ 25.9, rel. 14
2θ 27.6, rel. 13
2θ 29.1, rel. 21
2θ 29.7, rel. 13
2θ 32.3, rel. 100
2θ 33.7, rel. 24
2θ 40.5, rel. 12
2θ 51.0, rel. 9
2θ 51.5, rel. 18
2θ 62.1, rel. 12



Which formula does entry 2 have? Pm6Dy8Sn



Copy entry 2 word for word.
This entry pairs a crystal structure of Pm6Dy8Sn with its theoretical powder X-ray diffraction pattern. Radiation: CuKα. Structure: a crystal structure in Alexandria, relaxed with PBE.

Atomic structure:
Lattice parameters (Å, degrees): 9.3851 9.3851 6.4657 90.00 90.00 120.00
Fractional positions:
Pm  0.0906  0.6420  0.1785
Pm  0.3580  0.4486  0.1785
Pm  0.4486  0.0906  0.8215
Pm  0.5514  0.9094  0.1785
Pm  0.6420  0.5514  0.8215
Pm  0.9094  0.3580  0.8215
Dy  0.0376  0.7756  0.6856
Dy  0.2244  0.2621  0.6856
Dy  0.2621  0.0376  0.3144
Dy  0.3333  0.6667  0.6572
Dy  0.6667  0.3333  0.3428
Dy  0.7379  0.9624  0.6856
Dy  0.7756  0.7379  0.3144
Dy  0.9624  0.2244  0.3144
Sn  0.0000  0.0000  0.0000

Largest 10 diffraction maxima, sorted by position, 2θ from 15° to 90°:
2θ 25.9, rel. 14
2θ 27.6, rel. 13
2θ 29.1, rel. 21
2θ 29.7, rel. 13
2θ 32.3, rel. 100
2θ 33.7, rel. 24
2θ 40.5, rel. 12
2θ 51.0, rel. 9
2θ 51.5, rel. 18
2θ 62.1, rel. 12